Starting from a GGA-PBE-relaxed structure, the XRD peak list of Na4SrSi3O9 was computed for Cu Kα, 1.54184 Å.
Peak positions follow from Bragg's law for the DFT cell and can differ from measured ones.

Top 10 peaks for 2θ = 15–90°, by angle:
16.21°, I 52.2; 28.25°, I 40.8; 32.75°, I 100.0; 36.74°, I 23.5; 40.39°, I 16.4; 43.78°, I 17.8; 46.98°, I 31.4; 55.73°, I 9.8; 58.43°, I 15.6; 58.49°, I 9.0

a b c (Å): 7.745 10.935 6.694
angles (deg): 90.00 125.25 90.00
Space group C2 (No. 5)
Unique sites:
Na: 0.000 0.000 0.000 [2 per cell]
Na: 0.000 0.472 0.500 [2 per cell]
Na: 0.210 0.263 0.974 [4 per cell]
Sr: 0.000 0.001 0.500 [2 per cell]
Si: 0.000 0.535 0.000 [2 per cell]
Si: 0.196 0.731 0.465 [4 per cell]
O: 0.000 0.733 0.500 [2 per cell]
O: 0.096 0.169 0.300 [4 per cell]
O: 0.112 0.631 0.239 [4 per cell]
O: 0.195 0.463 0.029 [4 per cell]
O: 0.205 0.867 0.376 [4 per cell]

=====

Starting from a GGA-PBE-relaxed structure, the XRD peak list of Na4SrSi3O9 was computed for Cu Kα, 1.54184 Å.
Peak positions follow from Bragg's law for the DFT cell and can differ from measured ones.

Top 10 peaks for 2θ = 15–90°, by angle:
16.21°, I 64.5; 28.24°, I 50.7; 32.74°, I 100.0; 32.80°, I 24.2; 36.72°, I 15.4; 36.78°, I 13.6; 40.36°, I 17.3; 43.76°, I 16.8; 46.98°, I 39.5; 58.47°, I 12.1

a b c (Å): 7.746 10.944 6.685
angles (deg): 90.00 125.22 90.00
Space group C2 (No. 5)
Unique sites:
Na: 0.000 0.000 0.000 [2 per cell]
Na: 0.000 0.472 0.500 [2 per cell]
Na: 0.211 0.262 0.974 [4 per cell]
Sr: 0.000 0.000 0.500 [2 per cell]
Si: 0.000 0.536 0.000 [2 per cell]
Si: 0.196 0.731 0.465 [4 per cell]
O: 0.000 0.733 0.500 [2 per cell]
O: 0.097 0.169 0.299 [4 per cell]
O: 0.112 0.631 0.239 [4 per cell]
O: 0.195 0.464 0.028 [4 per cell]
O: 0.204 0.866 0.374 [4 per cell]

=====

Starting from a GGA-PBE-relaxed structure, the XRD peak list of Na4SrSi3O9 was computed for Cu Kα, 1.54184 Å.
Peak positions follow from Bragg's law for the DFT cell and can differ from measured ones.

Top 10 peaks for 2θ = 15–90°, by angle:
16.21°, I 54.5; 28.24°, I 40.6; 32.74°, I 100.0; 36.74°, I 23.2; 40.34°, I 13.9; 43.75°, I 16.6; 46.97°, I 31.1; 58.38°, I 15.0; 58.56°, I 8.8; 66.11°, I 12.9

a b c (Å): 6.685 6.707 6.707
angles (deg): 109.54 109.40 109.40
Space group P1 (No. 1)
Unique sites:
Na: 0.000 0.000 0.000 [1 per cell]
Na: 0.028 0.056 0.528 [1 per cell]
Na: 0.500 0.472 0.528 [1 per cell]
Na: 0.972 0.472 0.944 [1 per cell]
Sr: 0.500 0.000 0.000 [1 per cell]
Si: 0.000 0.537 0.463 [1 per cell]
Si: 0.463 0.927 0.463 [1 per cell]
Si: 0.537 0.537 0.073 [1 per cell]
O: 0.040 0.662 0.732 [1 per cell]
O: 0.241 0.741 0.482 [1 per cell]
O: 0.308 0.268 0.931 [1 per cell]
O: 0.366 0.074 0.342 [1 per cell]
O: 0.500 0.741 0.259 [1 per cell]
O: 0.622 0.662 0.931 [1 per cell]
O: 0.692 0.069 0.732 [1 per cell]
O: 0.759 0.518 0.259 [1 per cell]
O: 0.960 0.268 0.338 [1 per cell]

=====

Starting from a GGA-PBE-relaxed structure, the XRD peak list of Na2SrSi2O6 was computed for Cu Kα, 1.54184 Å.
Peak positions follow from Bragg's law for the DFT cell and can differ from measured ones.

Top 10 peaks for 2θ = 15–90°, by angle:
19.39°, I 21.7; 25.40°, I 67.8; 25.79°, I 21.2; 25.97°, I 84.5; 32.20°, I 98.0; 32.48°, I 45.9; 32.83°, I 53.2; 33.12°, I 100.0; 40.43°, I 30.6; 46.86°, I 99.0

a b c (Å): 11.035 10.913 7.757
angles (deg): 90.00 92.22 90.00
Space group C2/m (No. 12)
Unique sites:
Na: 0.000 0.000 0.000 [2 per cell]
Na: 0.000 0.500 0.500 [2 per cell]
Na: 0.247 0.000 0.268 [4 per cell]
Na: 0.250 0.250 0.500 [4 per cell]
Sr: 0.000 0.500 0.000 [2 per cell]
Sr: 0.250 0.250 0.000 [4 per cell]
Si: 0.014 0.226 0.712 [8 per cell]
Si: 0.214 0.000 0.736 [4 per cell]
O: 0.000 0.247 0.500 [4 per cell]
O: 0.075 0.349 0.793 [8 per cell]
O: 0.112 0.174 0.217 [8 per cell]
O: 0.124 0.123 0.747 [8 per cell]
O: 0.212 0.500 0.437 [4 per cell]
O: 0.218 0.500 0.075 [4 per cell]

=====

Starting from a GGA-PBE-relaxed structure, the XRD peak list of Na3Sr2Ti3Si4O18 was computed for Cu Kα, 1.54184 Å.
Peak positions follow from Bragg's law for the DFT cell and can differ from measured ones.

Top 10 peaks for 2θ = 15–90°, by angle:
23.58°, I 43.5; 25.78°, I 61.4; 27.13°, I 36.4; 29.19°, I 32.3; 30.73°, I 25.0; 31.91°, I 100.0; 32.20°, I 25.4; 33.38°, I 30.7; 34.08°, I 26.7; 41.91°, I 27.3

a b c (Å): 19.867 7.163 5.433
angles (deg): 90.00 96.88 90.00
Space group C2/m (No. 12)
Unique sites:
Na: 0.000 0.000 0.000 [2 per cell]
Na: 0.000 0.258 0.500 [4 per cell]
Sr: 0.216 0.500 0.739 [4 per cell]
Ti: 0.000 0.500 0.000 [2 per cell]
Ti: 0.149 0.000 0.706 [4 per cell]
Si: 0.142 0.284 0.201 [8 per cell]
O: 0.056 0.500 0.752 [4 per cell]
O: 0.060 0.291 0.170 [8 per cell]
O: 0.064 0.000 0.673 [4 per cell]
O: 0.175 0.191 0.466 [8 per cell]
O: 0.176 0.500 0.219 [4 per cell]
O: 0.177 0.189 0.971 [8 per cell]